Entry 1:
This entry pairs a crystal structure of K2SbH5O6 with its theoretical X-ray diffraction stick pattern. Radiation: CuKα. Structure: a cell relaxed with PBE.
Intensities are scaled so that the largest is 100.

Peak list (12 most intense, 2θ = 10–90°, most intense first)
2θ/deg  I (rel.)  hkl
17.11  100  1 0 0
17.28  100  0 1 -1
25.42  96  1 1 -1
15.89  69  0 1 1
23.24  68  1 0 2
25.64  66  -1 1 1
32.01  59  0 1 3
26.66  56  0 2 0
33.39  52  1 2 2
20.01  38  0 0 2
37.81  38  1 -2 2
21.01  35  1 1 1

Crystal structure
a = 5.3411 Å, b = 6.7365 Å, c = 9.1609 Å
α = 84.04°, β = 76.46°, γ = 85.15°
Positions (direct):
K: 0.1763 0.2277 0.4234
K: 0.2692 0.6878 0.9323
K: 0.7308 0.3122 0.0677
K: 0.8237 0.7723 0.5766
Sb: 0.4697 0.2336 0.7271
Sb: 0.5303 0.7664 0.2729
H: 0.1165 0.9619 0.2188
H: 0.1290 0.5769 0.2662
H: 0.2912 0.5617 0.5955
H: 0.2937 0.1464 0.0090
H: 0.2960 0.9413 0.6220
H: 0.7040 0.0587 0.3780
H: 0.7063 0.8536 0.9910
H: 0.7088 0.4383 0.4045
H: 0.8710 0.4231 0.7338
H: 0.8835 0.0381 0.7812
O: 0.2111 0.4527 0.6722
O: 0.2292 0.0169 0.7143
O: 0.2512 0.2581 0.9375
O: 0.3039 0.9834 0.1798
O: 0.3185 0.5514 0.2291
O: 0.3422 0.7859 0.4806
O: 0.6578 0.2141 0.5194
O: 0.6815 0.4486 0.7709
O: 0.6961 0.0166 0.8202
O: 0.7488 0.7419 0.0625
O: 0.7708 0.9831 0.2857
O: 0.7889 0.5473 0.3278

---

Entry 2:
This entry pairs a crystal structure of K2H2Se2O with its theoretical X-ray diffraction stick pattern. Radiation: CuKα. Structure: a cell relaxed with PBE.
Intensities are scaled so that the largest is 100.

Peak list (12 most intense, 2θ = 10–90°, most intense first)
2θ/deg  I (rel.)  hkl
30.81  100  1 1 2
22.42  49  1 0 1
40.68  35  2 0 0
58.91  27  2 0 4
15.28  27  0 1 1
40.78  26  1 3 0
36.62  21  0 3 1
32.48  18  1 2 1
20.00  16  0 0 2
51.96  16  0 4 2
67.92  15  3 1 2
63.87  14  0 3 5

Crystal structure
a = 4.4328 Å, b = 7.6608 Å, c = 8.8794 Å
α = 90.00°, β = 90.00°, γ = 90.00°
Positions (direct):
K: 0.0000 0.0000 0.2487
K: 0.0000 0.0000 0.7513
K: 0.5000 0.5000 0.2513
K: 0.5000 0.5000 0.7487
H: 0.0000 0.3727 0.5000
H: 0.0000 0.6273 0.5000
H: 0.5000 0.1273 0.0000
H: 0.5000 0.8727 0.0000
Se: 0.0000 0.3420 0.0000
Se: 0.0000 0.6580 0.0000
Se: 0.5000 0.1580 0.5000
Se: 0.5000 0.8420 0.5000
O: 0.0000 0.5000 0.5000
O: 0.5000 0.0000 0.0000

---

Entry 3:
This entry pairs a crystal structure of KH3Se2O6 with its theoretical X-ray diffraction stick pattern. Radiation: CuKα. Structure: a cell relaxed with PBE.
Intensities are scaled so that the largest is 100.

Peak list (12 most intense, 2θ = 10–90°, most intense first)
2θ/deg  I (rel.)  hkl
24.88  100  1 3 -1
25.64  87  1 3 1
27.48  51  0 0 2
19.60  32  1 1 -1
43.09  27  2 6 0
20.55  23  1 1 1
21.53  23  0 4 0
46.60  13  3 3 -1
45.01  12  0 3 3
32.53  12  0 6 0
31.43  11  1 0 2
38.90  11  2 5 0

Crystal structure
a = 6.5001 Å, b = 16.5132 Å, c = 6.4982 Å
α = 90.00°, β = 92.87°, γ = 90.00°
Positions (direct):
K: 0.2437 0.0006 0.3049
K: 0.2437 0.4994 0.8049
K: 0.7563 0.5006 0.1951
K: 0.7563 0.9994 0.6951
H: 0.0287 0.6645 0.0534
H: 0.0287 0.8355 0.5534
H: 0.2460 0.5100 0.3732
H: 0.2460 0.9900 0.8732
H: 0.4695 0.1703 0.5612
H: 0.4695 0.3297 0.0612
H: 0.5305 0.6703 0.9388
H: 0.5305 0.8297 0.4388
H: 0.7540 0.0100 0.1268
H: 0.7540 0.4900 0.6268
H: 0.9713 0.1645 0.4466
H: 0.9713 0.3355 0.9466
Se: 0.2201 0.1512 0.8032
Se: 0.2201 0.3488 0.3032
Se: 0.3038 0.6483 0.2982
Se: 0.3038 0.8517 0.7982
Se: 0.6962 0.1483 0.2018
Se: 0.6962 0.3517 0.7018
Se: 0.7799 0.6512 0.6968
Se: 0.7799 0.8488 0.1968
O: 0.0770 0.1081 0.6043
O: 0.0770 0.3919 0.1043
O: 0.0968 0.7004 0.1712
O: 0.0968 0.7996 0.6712
O: 0.1568 0.5625 0.3800
O: 0.1568 0.9375 0.8800
O: 0.3609 0.0709 0.8998
O: 0.3609 0.4291 0.3998
O: 0.4122 0.2073 0.6689
O: 0.4122 0.2927 0.1689
O: 0.4319 0.6065 0.1059
O: 0.4319 0.8935 0.6059
O: 0.5681 0.1065 0.3941
O: 0.5681 0.3935 0.8941
O: 0.5878 0.7073 0.8311
O: 0.5878 0.7927 0.3311
O: 0.6391 0.5709 0.6002
O: 0.6391 0.9291 0.1002
O: 0.8432 0.0625 0.1200
O: 0.8432 0.4375 0.6200
O: 0.9032 0.2004 0.3288
O: 0.9032 0.2996 0.8288
O: 0.9230 0.6081 0.8957
O: 0.9230 0.8919 0.3957

---

Q: What is the formula in the third record?
A: KH3Se2O6